The following is a simulated XRD peak list of Na5W6O18. It was derived from a structure optimized by DFT (PBE+U), using Cu Kα (weighted mean of Kα1 and Kα2).
Lines closer than 0.1° are merged.

Structural model:
Unit cell a=7.8157 b=11.0774 c=16.9121 alpha=90.00 beta=90.00 gamma=90.00
Space group Cmcm (No. 63)
Inequivalent atoms, fractional coordinates:
Na  0.0000  0.1233  0.2500
Na  0.0000  0.1261  0.5834
Na  0.0000  0.3747  0.0841
W  0.2485  0.3725  0.2500
W  0.2498  0.1235  0.0844
O  0.0000  0.1102  0.0666
O  0.0000  0.1455  0.7500
O  0.0000  0.3631  0.5940
O  0.0000  0.3926  0.2500
O  0.2125  0.5000  0.0000
O  0.2163  0.2470  0.1639
O  0.2296  0.0035  0.6628
O  0.2500  0.2500  0.0000

Principal peaks in the range 2θ from 10° to 90°, in order of rising 2θ:
2θ/deg	intensity	(hkl)
22.50	100	0 2 3
22.76	48	2 0 0
31.75	22	0 0 6
32.22	89	2 2 3
32.33	21	0 4 0
45.94	29	0 4 6
51.86	21	2 4 6
52.20	31	4 2 3
56.85	19	2 2 9
57.59	18	2 6 3



The following is a simulated XRD peak list of Na4W9O27. It was derived from a structure optimized by DFT (PBE+U), using Cu Kα (weighted mean of Kα1 and Kα2).
Lines closer than 0.1° are merged.

Structural model:
Unit cell a=18.3788 b=5.5048 c=11.7324 alpha=90.00 beta=115.30 gamma=90.00
Space group C2/m (No. 12)
Inequivalent atoms, fractional coordinates:
Na  0.0005  0.0000  0.1671
Na  0.1687  0.5000  0.6144
W  0.0000  0.5000  0.0000
W  0.0009  0.5000  0.6672
W  0.1664  0.0000  0.4440
W  0.1677  0.0000  0.1095
W  0.1679  0.0000  0.7787
O  0.0000  0.5000  0.5000
O  0.0010  0.5000  0.8343
O  0.0809  0.2449  0.0560
O  0.0819  0.2506  0.7211
O  0.0831  0.2510  0.3875
O  0.1633  0.0000  0.9456
O  0.1660  0.0000  0.2783
O  0.1660  0.0000  0.6065
O  0.2493  0.2464  0.1697
O  0.2500  0.2500  0.5000

Principal peaks in the range 2θ from 10° to 90°, in order of rising 2θ:
2θ/deg	intensity	(hkl)
22.76	100	3 1 0
32.36	36	6 0 0
32.42	24	1 1 3
32.53	12	0 2 0
46.49	24	6 2 0
52.32	28	9 1 0
57.69	12	7 1 3
57.82	7	2 0 6
57.96	10	1 3 3
72.68	8	1 3 -6



The following is a simulated XRD peak list of NaW10O30. It was derived from a structure optimized by DFT (PBE+U), using Cu Kα (weighted mean of Kα1 and Kα2).
Lines closer than 0.1° are merged.

Structural model:
Unit cell a=10.9433 b=7.7239 c=13.9470 alpha=90.00 beta=101.38 gamma=90.00
Space group C2/m (No. 12)
Inequivalent atoms, fractional coordinates:
Na  0.0000  0.0000  0.0000
W  0.0507  0.2510  0.2024
W  0.1499  0.2504  0.5991
W  0.2500  0.2500  0.0000
O  0.0000  0.2613  0.5000
O  0.0434  0.5000  0.1921
O  0.0505  0.2534  0.7005
O  0.0560  0.0000  0.2054
O  0.0987  0.2321  0.9016
O  0.1423  0.0000  0.5962
O  0.1490  0.2409  0.0991
O  0.1578  0.5000  0.6044
O  0.1998  0.2632  0.2999
O  0.2401  0.5000  0.9962
O  0.2500  0.2500  0.5000

Principal peaks in the range 2θ from 10° to 90°, in order of rising 2θ:
2θ/deg	intensity	(hkl)
23.00	100	2 0 -3
32.76	59	2 2 2
40.41	14	4 2 -1
46.98	14	4 0 -6
52.95	34	4 2 4
53.01	7	2 4 2
58.48	24	4 4 -1
68.68	10	4 4 -6
73.46	10	8 2 -2
73.52	9	2 4 -8



The following is a simulated XRD peak list of NaW3O9. It was derived from a structure optimized by DFT (PBE+U), using Cu Kα (weighted mean of Kα1 and Kα2).
Lines closer than 0.1° are merged.

Structural model:
Unit cell a=5.5926 b=7.5895 c=8.4064 alpha=90.00 beta=90.81 gamma=90.00
Space group P2_1/m (No. 11)
Inequivalent atoms, fractional coordinates:
Na  0.0347  0.2500  0.4895
W  0.0000  0.0000  0.0000
W  0.4916  0.0001  0.6883
O  0.0707  0.2500  0.9969
O  0.2314  0.5407  0.8218
O  0.2646  0.5393  0.1614
O  0.2813  0.5346  0.4936
O  0.4125  0.2500  0.6792
O  0.4295  0.2500  0.3170

Principal peaks in the range 2θ from 10° to 90°, in order of rising 2θ:
2θ/deg	intensity	(hkl)
18.94	51	1 0 -1
19.19	63	1 0 1
23.44	100	0 2 0
26.35	62	1 0 -2
26.71	53	1 0 2
30.31	31	1 2 -1
30.47	37	1 2 1
31.98	64	2 0 0
35.56	36	1 2 -2
40.03	53	2 2 0



The following is a simulated XRD peak list of NaYW2O8. It was derived from a structure optimized by DFT (PBE+U), using Cu Kα (weighted mean of Kα1 and Kα2).
Lines closer than 0.1° are merged.

Structural model:
Unit cell a=7.4427 b=7.4427 c=6.6429 alpha=90.00 beta=90.00 gamma=90.00
Space group I-4m2 (No. 119)
Inequivalent atoms, fractional coordinates:
Na  0.0000  0.0000  0.0000
Y  0.0000  0.5000  0.7500
W  0.0000  0.0000  0.5000
W  0.0000  0.5000  0.2500
O  0.0000  0.1985  0.6584
O  0.0000  0.3140  0.0727

Principal peaks in the range 2θ from 10° to 90°, in order of rising 2θ:
2θ/deg	intensity	(hkl)
17.90	54	1 0 1
23.91	100	2 0 0
30.03	42	2 1 1
31.86	80	1 1 2
34.07	23	2 2 0
47.34	64	3 1 2
48.95	17	4 0 0
55.19	16	4 2 0
59.60	18	3 3 2
70.47	16	5 1 2



The following is a simulated XRD peak list of Na5YW4O16. It was derived from a structure optimized by DFT (PBE+U), using Cu Kα (weighted mean of Kα1 and Kα2).
Lines closer than 0.1° are merged.

Structural model:
Unit cell a=11.6680 b=11.6680 c=11.4092 alpha=90.00 beta=90.00 gamma=90.00
Space group I4_1/a (No. 88, origin choice 2)
Inequivalent atoms, fractional coordinates:
Na  0.0000  0.2500  0.1250
Na  0.1193  0.4557  0.8453
Y  0.0000  0.2500  0.6250
W  0.0923  0.4337  0.3647
O  0.0299  0.1022  0.2732
O  0.0606  0.1362  0.7877
O  0.0793  0.0729  0.5576
O  0.1841  0.0347  0.9799

Principal peaks in the range 2θ from 10° to 90°, in order of rising 2θ:
2θ/deg	intensity	(hkl)
10.85	27	1 0 1
18.70	71	1 2 1
24.18	16	3 0 1
28.82	100	3 1 2
29.05	24	1 2 3
34.37	21	2 4 0
39.41	15	5 0 1
47.21	29	2 4 4
54.27	14	3 1 6
58.20	24	1 7 2